The following is a simulated X-ray diffraction stick pattern of Sr2CaTi3O9. It was derived from a PBE-relaxed structure, using copper Kα.
Neutral-atom scattering factors, no anomalous dispersion.

Cell and atoms:
Unit cell a=12.337 b=5.561 c=12.317 alpha=77.17 beta=26.07 gamma=76.76
Atoms (fractional coordinates):
Sr 0.000 0.000 0.000
Sr 0.177 0.842 0.158
Sr 0.500 0.500 0.500
Sr 0.842 0.177 0.823
Ca 0.347 0.679 0.321
Ca 0.679 0.347 0.653
Ti 0.093 0.427 0.076
Ti 0.264 0.264 0.236
Ti 0.427 0.093 0.405
Ti 0.595 0.924 0.573
Ti 0.764 0.764 0.736
Ti 0.924 0.595 0.907
O 0.002 0.002 0.498
O 0.027 0.499 0.501
O 0.032 0.466 0.968
O 0.117 0.367 0.218
O 0.149 0.847 0.682
O 0.172 0.367 0.633
O 0.318 0.678 0.851
O 0.367 0.117 0.299
O 0.367 0.172 0.828
O 0.466 0.032 0.534
O 0.499 0.027 0.973
O 0.502 0.502 0.998
O 0.663 0.809 0.191
O 0.678 0.318 0.153
O 0.701 0.782 0.633
O 0.782 0.701 0.883
O 0.809 0.663 0.337
O 0.847 0.149 0.322

The 8 most intense peaks (10° ≤ 2θ ≤ 80°), sorted by position:
- 32.21°, rel. 100
- 32.49°, rel. 55
- 39.84°, rel. 26
- 45.79°, rel. 23
- 46.57°, rel. 21
- 46.65°, rel. 21
- 57.26°, rel. 21
- 57.79°, rel. 41